Theoretical powder diffraction line list
Compound: Li3VO3F
Radiation: Cu Kα (weighted mean of Kα1 and Kα2)
Structure: a cell relaxed with GGA+U

Structural model:
a = 7.1923 Å, b = 7.2150 Å, c = 7.2230 Å
α = 109.98°, β = 108.85°, γ = 109.43°
Positions (direct):
Li: 0.0000 0.0000 0.0000
Li: 0.0014 0.2375 0.7342
Li: 0.0181 0.7583 0.2451
Li: 0.0218 0.4822 0.5040
Li: 0.2463 0.2412 0.4902
Li: 0.2491 0.4853 0.2521
Li: 0.2691 0.7450 0.9912
Li: 0.5021 0.7224 0.7251
Li: 0.5077 0.9812 0.4866
Li: 0.7591 0.7437 0.4923
Li: 0.7703 0.5099 0.7427
Li: 0.7827 0.9988 0.2664
V: 0.2254 0.9818 0.7344
V: 0.4859 0.2419 0.2542
V: 0.4864 0.4972 0.9939
V: 0.7504 0.2168 0.9949
O: 0.0225 0.9904 0.5062
O: 0.0330 0.7604 0.7464
O: 0.2610 0.2410 0.9959
O: 0.2738 0.4888 0.7568
O: 0.2798 0.0046 0.2399
O: 0.4938 0.2358 0.7697
O: 0.5012 0.0063 0.9950
O: 0.5148 0.7211 0.2262
O: 0.5166 0.4830 0.4795
O: 0.7280 0.4601 0.2157
O: 0.7470 0.0156 0.7612
O: 0.9844 0.2422 0.2329
F: 0.2545 0.7477 0.4924
F: 0.7503 0.2464 0.4974
F: 0.7518 0.7289 0.9872
F: 0.9960 0.4910 0.9982

Peak list (12 most intense, 5 to 70 degrees two-theta, sorted by position)
15.02 deg, intensity 100, hkl 0 0 1; 15.11 deg, intensity 20, hkl 1 0 -1; 26.09 deg, intensity 20, hkl 1 0 1; 26.22 deg, intensity 56, hkl 2 -1 0; 26.33 deg, intensity 17, hkl -2 1 1; 33.83 deg, intensity 11, hkl 1 -2 2; 40.48 deg, intensity 10, hkl 0 3 -2; 43.15 deg, intensity 39, hkl 2 -2 2; 43.49 deg, intensity 38, hkl 2 2 -2; 43.71 deg, intensity 37, hkl -2 2 2; 62.91 deg, intensity 20, hkl 0 0 4; 63.26 deg, intensity 18, hkl 0 4 0